The following is a calculated XRD peak list of Tm7Ni2Pt2. It was derived from the GGA-PBE geometry in Alexandria, using a wavelength of 1.5418 Å.

Largest 12 diffraction maxima, in order of falling intensity, 5° ≤ 2θ ≤ 70°:
| h k l | two_theta | intensity |
| --- | --- | --- |
| 1 4 1 | 35.3 | 100 |
| 1 1 2 | 31.5 | 47 |
| 0 3 3 | 34.4 | 44 |
| 1 3 2 | 35.8 | 42 |
| 1 3 0 | 29.9 | 39 |
| 1 2 3 | 40.0 | 32 |
| 0 5 1 | 31.3 | 28 |
| 2 0 0 | 48.8 | 27 |
| 1 0 3 | 38.1 | 17 |
| 2 3 3 | 61.0 | 17 |
| 0 3 5 | 53.3 | 16 |
| 1 0 1 | 25.8 | 16 |

Crystal structure
```
data_Tm7Ni2Pt2
_space_group_name_H-M_alt 'I m m 2'
_space_group_IT_number 44
_space_group_name_Hall 'I 2 -2'
_cell_length_a 3.7344
_cell_length_b 15.0386
_cell_length_c 9.1577
_cell_angle_alpha 90.00
_cell_angle_beta 90.00
_cell_angle_gamma 90.00
loop_
_atom_site_label
_atom_site_fract_x
_atom_site_fract_y
_atom_site_fract_z
Tm1 0.0000 0.0000 0.0000
Tm2 0.0000 0.1135 0.6036
Tm3 0.0000 0.3071 0.3971
Tm4 0.0000 0.3695 0.7598
Ni1 0.0000 0.2435 0.0982
Pt1 0.0000 0.0000 0.3448
Pt2 0.0000 0.5000 0.2745
```